Entry 1:
Diffraction record for Rb2Ba8MgSb6O2. The powder diffractogram is calculated, not measured: it uses a GGA-PBE-relaxed structure and CuKα.
Peak positions follow from Bragg's law for the DFT cell and can differ from measured ones.

Most intense lines, 5 to 70 degrees two-theta, in order of rising 2θ:
hkl -1 2 1, 2θ 25.03, rel. 61; hkl -2 1 2, 2θ 25.72, rel. 47; hkl 1 -2 2, 2θ 26.49, rel. 51; hkl 2 -1 1, 2θ 26.59, rel. 77; hkl 2 1 0, 2θ 27.51, rel. 44; hkl 1 2 -3, 2θ 27.95, rel. 100; hkl 1 -3 1, 2θ 28.16, rel. 44; hkl -3 1 1, 2θ 29.13, rel. 58; hkl 1 3 -2, 2θ 30.35, rel. 44; hkl 3 1 -2, 2θ 31.24, rel. 45

Atomic structure:
Lattice parameters (Å, degrees): 9.3928 9.7712 10.0996 112.48 114.79 96.83
Space group P1 (No. 1)
One atom of each set of equivalent atoms:
Rb: 0.0000 0.0000 0.0000
Rb: 0.4903 0.4675 0.9707
Ba: 0.0036 0.7950 0.2972
Ba: 0.1969 0.7289 0.7231
Ba: 0.3001 0.5241 0.3297
Ba: 0.5080 0.0101 0.7104
Ba: 0.5216 0.8773 0.2584
Ba: 0.7037 0.5290 0.7177
Ba: 0.7839 0.2517 0.2624
Ba: 0.9757 0.1840 0.6830
Mg: 0.4521 0.2002 0.3320
Sb: 0.1134 0.5903 0.9819
Sb: 0.2572 0.2401 0.4895
Sb: 0.3545 0.1442 0.0048
Sb: 0.6436 0.8329 0.9831
Sb: 0.7655 0.7418 0.5081
Sb: 0.8827 0.3785 0.9981
O: 0.2536 0.7633 0.5091
O: 0.6792 0.1862 0.4407

=====

Entry 2:
Diffraction record for Li2MgO2. The powder diffractogram is calculated, not measured: it uses a GGA-PBE-relaxed structure and CuKα.
Peak positions follow from Bragg's law for the DFT cell and can differ from measured ones.

Most intense lines, 5 to 70 degrees two-theta, in order of rising 2θ:
hkl 1 1 0, 2θ 21.00, rel. 100; hkl 0 2 0, 2θ 24.93, rel. 59; hkl 1 2 1, 2θ 34.24, rel. 72; hkl 1 1 2, 2θ 38.25, rel. 56; hkl 1 3 0, 2θ 41.65, rel. 30; hkl 2 0 2, 2θ 47.21, rel. 50; hkl 2 2 2, 2θ 54.11, rel. 30; hkl 3 2 1, 2θ 61.19, rel. 21; hkl 0 4 2, 2θ 61.38, rel. 28; hkl 2 4 0, 2θ 62.94, rel. 15

Atomic structure:
Lattice parameters (Å, degrees): 5.2518 7.1433 5.6628 90.00 90.00 90.00
Space group Ibam (No. 72)
One atom of each set of equivalent atoms:
Li: 0.0897 0.1485 0.0000
Mg: 0.0000 0.5000 0.2500
O: 0.2322 0.3962 0.0000

=====

Entry 3:
Diffraction record for CaCeBeN2. The powder diffractogram is calculated, not measured: it uses a GGA-PBE-relaxed structure and CuKα.
Peak positions follow from Bragg's law for the DFT cell and can differ from measured ones.

Most intense lines, 5 to 70 degrees two-theta, in order of rising 2θ:
hkl 0 1 0, 2θ 16.73, rel. 26; hkl 1 0 0, 2θ 17.34, rel. 46; hkl 1 1 0, 2θ 24.18, rel. 100; hkl 0 0 2, 2θ 27.40, rel. 26; hkl 0 1 2, 2θ 32.28, rel. 18; hkl 0 2 0, 2θ 33.83, rel. 18; hkl 1 1 2, 2θ 36.87, rel. 78; hkl 0 2 2, 2θ 44.07, rel. 26; hkl 2 0 2, 2θ 45.08, rel. 23; hkl 2 2 0, 2θ 49.54, rel. 19

Atomic structure:
Lattice parameters (Å, degrees): 5.1150 5.2994 6.5092 90.00 90.00 90.00
Space group Pccm (No. 49)
One atom of each set of equivalent atoms:
Ca: 0.0000 0.0000 0.2500
Ce: 0.5000 0.5000 0.2500
Be: 0.5000 0.0000 0.0000
N: 0.2993 0.2207 0.0000

=====

Entry 4:
Diffraction record for PmNdGeI. The powder diffractogram is calculated, not measured: it uses a GGA-PBE-relaxed structure and CuKα.
Peak positions follow from Bragg's law for the DFT cell and can differ from measured ones.

Most intense lines, 5 to 70 degrees two-theta, in order of rising 2θ:
hkl 1 0 1, 2θ 24.20, rel. 20; hkl 0 1 2, 2θ 25.09, rel. 18; hkl 1 0 4, 2θ 28.37, rel. 38; hkl 0 1 5, 2θ 30.62, rel. 100; hkl 1 0 7, 2θ 36.00, rel. 19; hkl 1 1 0, 2θ 42.03, rel. 51; hkl 1 0 10, 2θ 45.62, rel. 18; hkl 2 0 5, 2θ 52.89, rel. 21; hkl 1 1 9, 2θ 55.34, rel. 16; hkl 1 2 5, 2θ 69.75, rel. 19

Atomic structure:
Lattice parameters (Å, degrees): 4.2992 4.2992 23.5235 90.00 90.00 120.00
Space group R3m (No. 160, hexagonal axes)
One atom of each set of equivalent atoms:
Pm: 0.0000 0.0000 0.0000
Nd: 0.0000 0.0000 0.7991
Ge: 0.0000 0.0000 0.4002
I: 0.0000 0.0000 0.2322

=====

Entry 5:
Diffraction record for Th3ScIn2. The powder diffractogram is calculated, not measured: it uses a GGA-PBE-relaxed structure and CuKα.
Peak positions follow from Bragg's law for the DFT cell and can differ from measured ones.

Most intense lines, 5 to 70 degrees two-theta, in order of rising 2θ:
hkl 1 1 0, 2θ 14.58, rel. 39; hkl 1 4 1, 2θ 28.65, rel. 78; hkl 2 2 0, 2θ 29.40, rel. 76; hkl 0 2 2, 2θ 29.55, rel. 78; hkl 0 6 0, 2θ 31.62, rel. 60; hkl 2 4 0, 2θ 34.75, rel. 74; hkl 0 4 2, 2θ 34.87, rel. 63; hkl 2 0 2, 2θ 39.28, rel. 100; hkl 2 6 2, 2θ 51.27, rel. 60; hkl 1 10 1, 2θ 57.92, rel. 42

Atomic structure:
Lattice parameters (Å, degrees): 6.5059 16.9793 6.4700 90.00 90.00 90.00
Space group Ibam (No. 72)
One atom of each set of equivalent atoms:
Th: 0.0000 0.0000 0.2500
Th: 0.2297 0.1762 0.0000
Sc: 0.0000 0.5000 0.2500
In: 0.2231 0.3672 0.0000